Entry 1:
This entry pairs a crystal structure of UMnCrGa with its computed X-ray powder pattern. Radiation: Cu Kα (λ = 1.5418 Å). Structure: a cell relaxed with PBE.
Peak positions follow from Bragg's law for the DFT cell and can differ from measured ones.

```
UMnCrGa
1.0
0.000 3.116 3.116
3.116 0.000 3.116
3.116 3.116 0.000
U Mn Cr Ga
1 1 1 1
Direct
0.000 0.000 0.000
0.750 0.750 0.750
0.250 0.250 0.250
0.500 0.500 0.500
```

Principal peaks in the range 10° ≤ 2θ ≤ 80°, sorted by position:
d 3.598, I = 34; d 3.116, I = 27; d 2.203, I = 100; d 1.879, I = 18; d 1.799, I = 8; d 1.558, I = 17; d 1.394, I = 12; d 1.272, I = 34

***

Entry 2:
This entry pairs a crystal structure of CrGaS2N with its computed X-ray powder pattern. Radiation: Cu Kα (λ = 1.5418 Å). Structure: a cell relaxed with PBE.
Peak positions follow from Bragg's law for the DFT cell and can differ from measured ones.

```
CrGaS2N
1.0
4.704 0.000 0.000
0.000 4.704 0.000
0.000 0.000 3.529
Cr Ga S N
1 1 2 1
Direct
0.000 0.000 0.000
0.500 0.500 0.500
0.000 0.500 0.000
0.500 0.000 0.000
0.000 0.000 0.500
```

Principal peaks in the range 10° ≤ 2θ ≤ 80°, sorted by position:
d 3.326, I = 33; d 2.823, I = 100; d 2.420, I = 48; d 2.352, I = 97; d 1.807, I = 53; d 1.663, I = 30; d 1.411, I = 33; d 1.210, I = 20